1.
# ThZn3CuPd
Simulated X-ray diffraction stick pattern, Cu Kα (weighted mean of Kα1 and Kα2). Input: a crystal structure in Alexandria, relaxed with GGA-PBE.
No peak broadening, texture or thermal motion is included.

Top 6 peaks for 5 to 70 degrees two-theta, by intensity:
(hkl)  Position (°2θ)  d/Å  intensity
2 0 2  43.4  2.087  100
1 1 1  22.4  3.964  80
2 0 0  28.7  3.115  56
2 2 0  32.0  2.795  55
0 2 2  34.9  2.569  52
1 5 0  38.4  2.347  52

Cell and atoms:
a b c (Å): 6.230 12.666 5.621
angles (deg): 90.00 90.00 90.00
Space group Cmcm (No. 63)
Asymmetric unit:
Th1 0.000 0.210 0.250 x4
Zn1 0.000 0.359 0.750 x4
Zn2 0.201 0.000 0.000 x8
Cu1 0.000 0.145 0.750 x4
Pd1 0.000 0.418 0.250 x4

---

2.
# La6CdHg2
Simulated X-ray diffraction stick pattern, Cu Kα (weighted mean of Kα1 and Kα2). Input: a crystal structure in Alexandria, relaxed with GGA-PBE.
No peak broadening, texture or thermal motion is included.

Top 6 peaks for 5 to 70 degrees two-theta, by intensity:
(hkl)  Position (°2θ)  d/Å  intensity
1 1 0  31.7  2.822  100
1 0 3  31.3  2.855  88
2 1 3  56.2  1.635  33
0 2 3  45.2  2.007  32
3 0 0  56.5  1.629  19
2 2 0  66.2  1.411  12

Cell and atoms:
a b c (Å): 5.6440 5.6440 10.5497
angles (deg): 90.00 90.00 120.00
Space group P-3m1 (No. 164)
Asymmetric unit:
La1 0.0000 0.0000 0.1751 x2
La2 0.3333 0.6667 0.0058 x2
La3 0.3333 0.6667 0.3810 x2
Cd1 0.0000 0.0000 0.5000 x1
Hg1 0.3333 0.6667 0.6977 x2

---

3.
# Er3Tm4Al
Simulated X-ray diffraction stick pattern, Cu Kα (weighted mean of Kα1 and Kα2). Input: a crystal structure in Alexandria, relaxed with GGA-PBE.
No peak broadening, texture or thermal motion is included.

Top 6 peaks for 5 to 70 degrees two-theta, by intensity:
(hkl)  Position (°2θ)  d/Å  intensity
1 0 4  32.0  2.798  100
1 1 0  36.5  2.462  41
2 1 4  62.9  1.478  29
1 0 3  29.3  3.044  15
2 0 0  52.6  1.741  14
1 0 11  60.3  1.534  14

Cell and atoms:
a b c (Å): 3.482 3.482 18.800
angles (deg): 90.00 90.00 90.00
Space group P4/mmm (No. 123)
Asymmetric unit:
Er1 0.000 0.000 0.000 x1
Er2 0.000 0.000 0.264 x2
Tm1 0.500 0.500 0.133 x2
Tm2 0.500 0.500 0.399 x2
Al1 0.000 0.000 0.500 x1

---

4.
# SmDyTm4
Simulated X-ray diffraction stick pattern, Cu Kα (weighted mean of Kα1 and Kα2). Input: a crystal structure in Alexandria, relaxed with GGA-PBE.
No peak broadening, texture or thermal motion is included.

Top 6 peaks for 5 to 70 degrees two-theta, by intensity:
(hkl)  Position (°2θ)  d/Å  intensity
0 0 2  32.0  2.793  100
0 3 1  32.1  2.786  73
1 1 -1  31.9  2.805  32
0 3 3  57.2  1.611  27
1 2 2  46.0  1.971  23
0 6 0  57.3  1.608  19

Cell and atoms:
a b c (Å): 3.431 9.642 5.586
angles (deg): 90.00 90.37 90.00
Space group P2/m (No. 10)
Asymmetric unit:
Sm1 0.000 0.000 0.000 x1
Dy1 0.000 0.500 0.500 x1
Tm1 0.500 0.169 0.500 x2
Tm2 0.500 0.335 0.000 x2

---

5.
# Mg6Si5
Simulated X-ray diffraction stick pattern, Cu Kα (weighted mean of Kα1 and Kα2). Input: a crystal structure in Alexandria, relaxed with GGA-PBE.
No peak broadening, texture or thermal motion is included.

Top 6 peaks for 5 to 70 degrees two-theta, by intensity:
(hkl)  Position (°2θ)  d/Å  intensity
1 1 -4  33.5  2.678  100
0 2 0  43.3  2.089  67
0 1 5  38.4  2.342  49
2 1 2  37.9  2.375  48
1 1 3  33.1  2.707  39
3 0 -5  44.4  2.039  26

Cell and atoms:
a b c (Å): 7.184 4.178 14.518
angles (deg): 90.00 103.07 90.00
Space group Pm (No. 6)
Asymmetric unit:
Mg1 0.000 0.000 0.000 x1
Mg2 0.002 0.000 0.758 x1
Mg3 0.032 0.500 0.186 x1
Mg4 0.213 0.500 0.452 x1
Mg5 0.273 0.000 0.611 x1
Mg6 0.351 0.500 0.764 x1
Mg7 0.469 0.000 0.927 x1
Mg8 0.479 0.500 0.278 x1
Mg9 0.640 0.500 0.614 x1
Mg10 0.689 0.000 0.144 x1
Mg11 0.778 0.500 0.854 x1
Mg12 0.857 0.000 0.497 x1
Si1 0.030 0.500 0.619 x1
Si2 0.170 0.500 0.907 x1
Si3 0.279 0.000 0.318 x1
Si4 0.312 0.000 0.152 x1
Si5 0.394 0.500 0.062 x1
Si6 0.474 0.000 0.476 x1
Si7 0.600 0.000 0.750 x1
Si8 0.722 0.500 0.030 x1
Si9 0.835 0.500 0.358 x1
Si10 0.951 0.000 0.307 x1

---

6.
# BaAg2As
Simulated X-ray diffraction stick pattern, Cu Kα (weighted mean of Kα1 and Kα2). Input: a crystal structure in Alexandria, relaxed with GGA-PBE.
No peak broadening, texture or thermal motion is included.

Top 6 peaks for 5 to 70 degrees two-theta, by intensity:
(hkl)  Position (°2θ)  d/Å  intensity
0 1 2  38.5  2.337  100
1 1 0  26.8  3.325  91
1 1 -1  31.6  2.830  67
1 0 1  25.1  3.551  59
0 2 0  38.4  2.343  59
2 2 0  55.2  1.663  56

Cell and atoms:
a b c (Å): 4.719 4.685 5.393
angles (deg): 90.00 90.21 90.00
Space group P2/m (No. 10)
Asymmetric unit:
Ba1 0.000 0.000 0.000 x1
Ag1 0.499 0.500 0.751 x2
As1 0.500 0.000 0.500 x1

---

7.
# Y2NiGe3
Simulated X-ray diffraction stick pattern, Cu Kα (weighted mean of Kα1 and Kα2). Input: a crystal structure in Alexandria, relaxed with GGA-PBE.
No peak broadening, texture or thermal motion is included.

Top 6 peaks for 5 to 70 degrees two-theta, by intensity:
(hkl)  Position (°2θ)  d/Å  intensity
1 1 1  33.2  2.696  100
1 0 2  33.6  2.665  50
0 1 3  44.0  2.058  45
2 1 3  64.6  1.443  28
0 2 0  43.1  2.100  26
2 0 0  44.8  2.025  23

Cell and atoms:
a b c (Å): 4.050 4.200 7.080
angles (deg): 90.00 90.00 90.00
Space group Pmm2 (No. 25)
Asymmetric unit:
Y1 0.000 0.000 0.000 x1
Y2 0.000 0.500 0.493 x1
Ni1 0.500 0.000 0.315 x1
Ge1 0.500 0.000 0.639 x1
Ge2 0.500 0.500 0.183 x1
Ge3 0.500 0.500 0.831 x1

---

8.
# ThZn2Ru2
Simulated X-ray diffraction stick pattern, Cu Kα (weighted mean of Kα1 and Kα2). Input: a crystal structure in Alexandria, relaxed with GGA-PBE.
No peak broadening, texture or thermal motion is included.

Top 6 peaks for 5 to 70 degrees two-theta, by intensity:
(hkl)  Position (°2θ)  d/Å  intensity
2 0 2  35.0  2.566  100
1 3 3  39.1  2.304  76
1 1 3  25.3  3.514  72
0 0 4  21.6  4.112  71
1 3 5  45.1  2.010  61
1 1 5  33.5  2.672  49

Cell and atoms:
a b c (Å): 5.402 8.633 16.446
angles (deg): 90.00 90.00 90.00
Space group Fddd (No. 70, origin choice 2)
Asymmetric unit:
Th1 0.125 0.125 0.125 x8
Zn1 0.125 0.125 0.509 x16
Ru1 0.125 0.333 0.625 x16

---

9.
# Ce3Er2S8
Simulated X-ray diffraction stick pattern, Cu Kα (weighted mean of Kα1 and Kα2). Input: a crystal structure in Alexandria, relaxed with GGA-PBE.
No peak broadening, texture or thermal motion is included.

Top 6 peaks for 5 to 70 degrees two-theta, by intensity:
(hkl)  Position (°2θ)  d/Å  intensity
0 0 1  13.4  6.607  100
2 2 1  31.5  2.839  96
2 2 0  25.8  3.452  50
4 0 -2  30.7  2.910  50
6 2 -1  45.0  2.013  36
2 2 -1  26.6  3.348  35

Cell and atoms:
a b c (Å): 13.885 8.187 7.116
angles (deg): 90.00 111.81 90.00
Space group C2/m (No. 12)
Asymmetric unit:
Ce1 0.000 0.000 0.000 x2
Ce2 0.000 0.256 0.500 x4
Er1 0.243 0.500 0.461 x4
S1 0.118 0.000 0.744 x4
S2 0.129 0.229 0.278 x8
S3 0.132 0.500 0.691 x4

---

10.
# CaNiP2Ru
Simulated X-ray diffraction stick pattern, Cu Kα (weighted mean of Kα1 and Kα2). Input: a crystal structure in Alexandria, relaxed with GGA-PBE.
No peak broadening, texture or thermal motion is included.

Top 6 peaks for 5 to 70 degrees two-theta, by intensity:
(hkl)  Position (°2θ)  d/Å  intensity
1 1 2  37.1  2.423  100
0 0 2  18.1  4.891  51
2 0 0  46.0  1.972  43
1 1 4  49.6  1.839  33
1 0 3  35.7  2.513  20
1 1 6  66.4  1.408  15

Cell and atoms:
a b c (Å): 3.945 3.945 9.782
angles (deg): 90.00 90.00 90.00
Space group I-4m2 (No. 119)
Asymmetric unit:
Ca1 0.000 0.000 0.000 x2
Ni1 0.000 0.500 0.750 x2
P1 0.000 0.000 0.378 x4
Ru1 0.000 0.500 0.250 x2